Starting from a crystal structure in Alexandria, relaxed with PBE, the powder XRD pattern of DyYSiRh was simulated for copper Kα.
No peak broadening, texture or thermal motion is included.

Top 10 peaks for 10 to 90 degrees two-theta, most intense first:
hkl 1 1 1, 32.1 deg, intensity 100; hkl 1 1 3, 40.5 deg, intensity 54; hkl 0 1 3, 33.6 deg, intensity 49; hkl 0 0 4, 34.3 deg, intensity 26; hkl 0 2 0, 43.8 deg, intensity 24; hkl 1 0 4, 41.0 deg, intensity 23; hkl 2 0 0, 44.7 deg, intensity 23; hkl 1 0 2, 27.8 deg, intensity 22; hkl 2 1 3, 57.1 deg, intensity 22; hkl 2 0 4, 57.5 deg, intensity 21

Cell and atoms:
Lattice parameters (Å, degrees): 4.056 4.135 10.472 90.00 90.00 90.00
Space group Amm2 (No. 38)
Asymmetric unit:
1 Dy 0.000 0.000 0.000
2 Y 0.500 0.000 0.282
3 Si 0.500 0.000 0.572
4 Rh 0.000 0.000 0.715